[1]
Theoretical powder XRD pattern
Compound: NbFe
Radiation: a wavelength of 1.5418 Å
Structure: DFT lattice parameters and positions (PBE)
No peak broadening, texture or thermal motion is included.

Crystal structure
```
data_NbFe
_symmetry_space_group_name_H-M 'P 1'
_symmetry_Int_Tables_number 1
_cell_length_a 13.919
_cell_length_b 2.740
_cell_length_c 4.535
_cell_angle_alpha 90.00
_cell_angle_beta 90.00
_cell_angle_gamma 90.00
loop_
_symmetry_equiv_pos_as_xyz
'x,y,z'
loop_
_atom_site_label
_atom_site_type_symbol
_atom_site_fract_x
_atom_site_fract_y
_atom_site_fract_z
Nb1 Nb 0.000 0.242 0.000
Nb2 Nb 0.192 0.659 0.156
Nb3 Nb 0.308 0.341 0.656
Nb4 Nb 0.500 0.758 0.500
Nb5 Nb 0.692 0.341 0.656
Nb6 Nb 0.808 0.659 0.156
Fe1 Fe 0.000 0.616 0.473
Fe2 Fe 0.135 0.028 0.646
Fe3 Fe 0.365 0.972 0.146
Fe4 Fe 0.500 0.384 0.973
Fe5 Fe 0.635 0.972 0.146
Fe6 Fe 0.865 0.028 0.646
```

Main lines, low angle first (2θ from 15° to 90°):
- 2θ = 37.92°, I 88
- 2θ = 38.15°, I 40
- 2θ = 38.38°, I 30
- 2θ = 38.82°, I 55
- 2θ = 38.95°, I 23
- 2θ = 39.75°, I 40
- 2θ = 40.60°, I 100
- 2θ = 41.92°, I 89
- 2θ = 43.23°, I 77
- 2θ = 46.71°, I 24
- 2θ = 47.88°, I 25
- 2θ = 66.97°, I 24


[2]
Theoretical powder XRD pattern
Compound: SrInSb2
Radiation: a wavelength of 1.5418 Å
Structure: DFT lattice parameters and positions (PBE)
No peak broadening, texture or thermal motion is included.

Crystal structure
```
data_SrInSb2
_symmetry_space_group_name_H-M 'P 1'
_symmetry_Int_Tables_number 1
_cell_length_a 3.634
_cell_length_b 5.250
_cell_length_c 6.678
_cell_angle_alpha 90.00
_cell_angle_beta 90.00
_cell_angle_gamma 90.00
loop_
_symmetry_equiv_pos_as_xyz
'x,y,z'
loop_
_atom_site_label
_atom_site_type_symbol
_atom_site_fract_x
_atom_site_fract_y
_atom_site_fract_z
Sr1 Sr 0.000 0.000 0.000
In1 In 0.500 0.500 0.353
Sb1 Sb 0.000 0.000 0.492
Sb2 Sb 0.500 0.500 0.888
```

Main lines, low angle first (2θ from 15° to 90°):
- 2θ = 26.70°, I 33
- 2θ = 29.90°, I 100
- 2θ = 31.76°, I 42
- 2θ = 34.16°, I 35
- 2θ = 36.55°, I 28
- 2θ = 40.51°, I 43
- 2θ = 43.87°, I 17
- 2θ = 50.88°, I 22
- 2θ = 57.96°, I 13
- 2θ = 58.54°, I 14
- 2θ = 60.64°, I 13
- 2θ = 71.89°, I 18


[3]
Theoretical powder XRD pattern
Compound: Li2ErCu2P2
Radiation: a wavelength of 1.5418 Å
Structure: DFT lattice parameters and positions (PBE)
No peak broadening, texture or thermal motion is included.

Crystal structure
```
data_Li2ErCu2P2
_symmetry_space_group_name_H-M 'P 1'
_symmetry_Int_Tables_number 1
_cell_length_a 7.883
_cell_length_b 7.883
_cell_length_c 7.883
_cell_angle_alpha 29.07
_cell_angle_beta 29.07
_cell_angle_gamma 29.07
loop_
_symmetry_equiv_pos_as_xyz
'x,y,z'
loop_
_atom_site_label
_atom_site_type_symbol
_atom_site_fract_x
_atom_site_fract_y
_atom_site_fract_z
Li1 Li 0.143 0.143 0.143
Li2 Li 0.857 0.857 0.857
Er1 Er 0.000 0.000 0.000
Cu1 Cu 0.426 0.426 0.426
Cu2 Cu 0.574 0.574 0.574
P1 P 0.255 0.255 0.255
P2 P 0.745 0.745 0.745
```

Main lines, low angle first (2θ from 15° to 90°):
- 2θ = 27.19°, I 77
- 2θ = 30.50°, I 54
- 2θ = 32.78°, I 90
- 2θ = 38.27°, I 100
- 2θ = 45.87°, I 78
- 2θ = 47.52°, I 20
- 2θ = 48.23°, I 22
- 2θ = 57.52°, I 18
- 2θ = 59.45°, I 23
- 2θ = 61.23°, I 24
- 2θ = 68.76°, I 36
- 2θ = 79.77°, I 22


[4]
Theoretical powder XRD pattern
Compound: Sm3Dy4Tm3
Radiation: a wavelength of 1.5418 Å
Structure: DFT lattice parameters and positions (PBE)
No peak broadening, texture or thermal motion is included.

Crystal structure
```
data_Sm3Dy4Tm3
_symmetry_space_group_name_H-M 'P 1'
_symmetry_Int_Tables_number 1
_cell_length_a 3.682
_cell_length_b 9.339
_cell_length_c 9.339
_cell_angle_alpha 89.74
_cell_angle_beta 90.00
_cell_angle_gamma 90.00
loop_
_symmetry_equiv_pos_as_xyz
'x,y,z'
loop_
_atom_site_label
_atom_site_type_symbol
_atom_site_fract_x
_atom_site_fract_y
_atom_site_fract_z
Sm1 Sm 0.000 0.000 0.000
Sm2 Sm 0.000 0.499 0.844
Sm3 Sm 0.000 0.844 0.499
Dy1 Dy 0.500 0.048 0.300
Dy2 Dy 0.500 0.300 0.048
Dy3 Dy 0.500 0.544 0.544
Dy4 Dy 0.500 0.799 0.799
Tm1 Tm 0.000 0.345 0.345
Tm2 Tm 0.500 0.174 0.667
Tm3 Tm 0.500 0.667 0.174
```

Main lines, low angle first (2θ from 15° to 90°):
- 2θ = 30.26°, I 65
- 2θ = 30.93°, I 31
- 2θ = 32.41°, I 100
- 2θ = 39.10°, I 10
- 2θ = 39.80°, I 8
- 2θ = 47.10°, I 12
- 2θ = 49.51°, I 12
- 2θ = 56.08°, I 17
- 2θ = 58.78°, I 8
- 2θ = 58.94°, I 8
- 2θ = 59.13°, I 20
- 2θ = 87.70°, I 8


- What is the formula in the third record?
  Li2ErCu2P2